PrNdAg2Bi4: theoretical powder X-ray diffraction pattern (Cu Kα (λ = 1.5418 Å)), based on a crystal structure in OQMD, relaxed with PBE.
Peak positions follow from Bragg's law for the DFT cell and can differ from measured ones.

```
data_PrNdAg2Bi4
_symmetry_space_group_name_H-M 'P 4 m m'
_symmetry_Int_Tables_number 99
_cell_length_a 4.607
_cell_length_b 4.607
_cell_length_c 10.509
_cell_angle_alpha 90.00
_cell_angle_beta 90.00
_cell_angle_gamma 90.00
loop_
_symmetry_equiv_pos_as_xyz
'x,y,z'
'-y,x,z'
'-x,-y,z'
'y,-x,z'
'-x,y,z'
'y,x,z'
'x,-y,z'
'-y,-x,z'
loop_
_atom_site_label
_atom_site_type_symbol
_atom_site_fract_x
_atom_site_fract_y
_atom_site_fract_z
_atom_site_occupancy
Pr1 Pr 0.000 0.000 0.000 1
Nd1 Nd 0.500 0.500 0.501 1
Ag1 Ag 0.000 0.500 0.251 1
Bi1 Bi 0.000 0.000 0.432 1
Bi2 Bi 0.000 0.500 0.750 1
Bi3 Bi 0.500 0.500 0.069 1
```

The 10 most intense peaks (2θ from 15° to 90°), by intensity:
| 2θ/deg | intensity | h k l |
| --- | --- | --- |
| 32.3 | 100 | 1 1 2 |
| 39.1 | 38 | 2 0 0 |
| 66.6 | 25 | 3 1 2 |
| 52.9 | 13 | 2 0 4 |
| 56.5 | 13 | 2 2 0 |
| 25.7 | 12 | 1 0 2 |
| 28.7 | 12 | 1 1 1 |
| 34.1 | 11 | 0 0 4 |
| 25.4 | 11 | 0 0 3 |
| 47.2 | 9 | 2 0 3 |



Hg3H6PtN2Cl8: theoretical powder X-ray diffraction pattern (Cu Kα (λ = 1.5418 Å)), based on a crystal structure in OQMD, relaxed with PBE.
Peak positions follow from Bragg's law for the DFT cell and can differ from measured ones.

```
data_Hg3H6PtN2Cl8
_symmetry_space_group_name_H-M 'C 1 2/c 1'
_symmetry_Int_Tables_number 15
_cell_length_a 18.932
_cell_length_b 6.663
_cell_length_c 12.809
_cell_angle_alpha 90.00
_cell_angle_beta 98.43
_cell_angle_gamma 90.00
loop_
_symmetry_equiv_pos_as_xyz
'x,y,z'
'-x,-y,-z'
'-x,y,-z+1/2'
'x,-y,z+1/2'
'x+1/2,y+1/2,z'
'-x+1/2,-y+1/2,-z'
'-x+1/2,y+1/2,-z+1/2'
'x+1/2,-y+1/2,z+1/2'
loop_
_atom_site_label
_atom_site_type_symbol
_atom_site_fract_x
_atom_site_fract_y
_atom_site_fract_z
_atom_site_occupancy
Hg1 Hg 0.000 0.000 0.000 1
Hg2 Hg 0.200 0.013 0.422 1
H1 H 0.057 0.469 0.166 1
H2 H 0.086 0.468 0.295 1
H3 H 0.122 0.375 0.715 1
Pt1 Pt 0.000 0.224 0.750 1
N1 N 0.075 0.441 0.729 1
Cl1 Cl 0.063 0.293 0.467 1
Cl2 Cl 0.085 0.016 0.227 1
Cl3 Cl 0.151 0.267 0.995 1
Cl4 Cl 0.244 0.219 0.652 1
```

The 10 most intense peaks (2θ from 15° to 90°), by intensity:
| 2θ/deg | intensity | h k l |
| --- | --- | --- |
| 34.8 | 100 | 4 2 -2 |
| 20.4 | 95 | 1 1 2 |
| 43.6 | 88 | 6 2 2 |
| 27.3 | 76 | 5 1 0 |
| 31.1 | 68 | 2 0 4 |
| 29.1 | 63 | 5 1 -2 |
| 19.0 | 56 | 4 0 0 |
| 15.7 | 52 | 2 0 -2 |
| 50.9 | 47 | 2 2 -6 |
| 32.3 | 44 | 1 1 4 |



Sr2HfTa: theoretical powder X-ray diffraction pattern (Cu Kα (λ = 1.5418 Å)), based on a crystal structure in OQMD, relaxed with PBE.
Peak positions follow from Bragg's law for the DFT cell and can differ from measured ones.

```
data_Sr2HfTa
_symmetry_space_group_name_H-M 'F -4 3 m'
_symmetry_Int_Tables_number 216
_symmetry_space_group_name_Hall 'F -4 2 3'
_cell_length_a 7.683
_cell_length_b 7.683
_cell_length_c 7.683
_cell_angle_alpha 90.00
_cell_angle_beta 90.00
_cell_angle_gamma 90.00
loop_
_atom_site_label
_atom_site_type_symbol
_atom_site_fract_x
_atom_site_fract_y
_atom_site_fract_z
_atom_site_occupancy
Sr1 Sr 0.000 0.000 0.000 1
Sr2 Sr 0.250 0.250 0.250 1
Hf1 Hf 0.000 0.000 0.500 1
Ta1 Ta 0.250 0.250 0.750 1
```

The 10 most intense peaks (2θ from 15° to 90°), by intensity:
| 2θ/deg | intensity | h k l |
| --- | --- | --- |
| 33.0 | 100 | 2 2 0 |
| 58.9 | 38 | 4 2 2 |
| 47.3 | 18 | 4 0 0 |
| 78.8 | 17 | 6 2 0 |
| 20.0 | 12 | 1 1 1 |
| 69.2 | 12 | 4 4 0 |
| 38.9 | 7 | 3 1 1 |
| 88.1 | 4 | 4 4 4 |
| 51.9 | 3 | 3 3 1 |
| 62.9 | 2 | 5 1 1 |